Theoretical powder diffraction line list of Np2S5 for Cu Kα X-rays, from DFT lattice parameters and positions (GGA-PBE).

Atomic structure:
```
Np2S5
1.0
7.327 0.000 0.000
0.000 9.917 0.000
0.000 0.000 7.340
Np S
8 20
Cartesian
1.747 1.481 0.055 Np
1.747 8.436 3.725 Np
1.917 3.477 3.725 Np
1.917 6.439 0.055 Np
5.410 3.477 7.285 Np
5.410 6.439 3.615 Np
5.580 1.481 3.615 Np
5.580 8.436 7.285 Np
0.000 2.497 5.505 S
0.000 7.420 1.835 S
0.784 3.958 1.044 S
0.784 5.958 4.714 S
0.962 1.048 2.798 S
0.962 8.869 6.468 S
2.701 3.911 6.468 S
2.701 6.006 2.798 S
2.879 1.000 4.714 S
2.879 8.917 1.044 S
3.663 2.462 1.835 S
3.663 7.455 5.505 S
4.448 1.000 6.296 S
4.448 8.917 2.626 S
4.625 3.911 4.543 S
4.625 6.006 0.873 S
6.365 1.048 0.873 S
6.365 8.869 4.543 S
6.542 3.958 2.626 S
6.542 5.958 6.296 S
```

Principal peaks in the range 10° ≤ 2θ ≤ 80°, sorted by position:
2θ/deg, intensity, index
24.3, 64, 0 0 2
24.8, 100, 1 2 1
34.6, 37, 2 0 2
36.2, 14, 0 4 0
40.3, 18, 1 4 1
43.1, 83, 1 2 3
44.1, 26, 0 4 2
51.0, 13, 2 4 2
56.1, 14, 2 0 4
67.8, 10, 1 2 5